Structure and computed X-ray diffraction stick pattern of Cs2Sn5Sb (a crystal structure in Alexandria, relaxed with GGA-PBE; Cu Kα).

Structure:
```
16
Lattice="9.7616 0.0000 0.0000 0.0000 13.8316 0.0000 -4.5355 0.0000 4.8723" Properties=species:S:1:pos:R:3 pbc="T T T"
Cs 0.0000 0.0000 0.0000
Cs 0.0000 6.8344 0.0000
Cs 4.8808 6.9158 0.0000
Cs 4.8808 13.7502 0.0000
Sn -2.2678 8.8483 2.4361
Sn -0.1484 3.4131 2.3796
Sn -2.1753 3.4137 4.5596
Sn 2.5206 10.3295 0.3126
Sn 0.4937 10.3289 2.4927
Sn 2.6131 1.9325 2.4361
Sn 4.7324 10.3289 2.3796
Sn 2.7056 10.3295 4.5596
Sn 7.4014 3.4137 0.3126
Sn 5.3746 3.4131 2.4927
Sb -2.2678 11.7989 2.4361
Sb 2.6131 4.8831 2.4361
```

Principal peaks in the range 5° ≤ 2θ ≤ 70°, most intense first:
| 2θ/deg | I_rel |
| --- | --- |
| 36.91 | 100 |
| 28.11 | 100 |
| 22.33 | 99 |
| 29.79 | 94 |
| 31.74 | 76 |
| 12.80 | 59 |
| 48.01 | 45 |
| 46.91 | 44 |
| 25.76 | 43 |
| 30.32 | 35 |



Structure and computed X-ray diffraction stick pattern of CsSn3Sb (a crystal structure in Alexandria, relaxed with GGA-PBE; Cu Kα).

Structure:
```
10
Lattice="7.7504 0.0000 0.0000 0.0000 6.3973 0.0000 -1.9309 0.0000 8.0872" Properties=species:S:1:pos:R:3 pbc="T T T"
Cs -0.0180 0.0000 2.2567
Cs 5.8375 3.1987 5.8306
Sn 0.3758 6.2976 6.7573
Sn 2.2025 3.1625 1.2696
Sn 1.9267 2.4750 6.9345
Sn 3.8928 5.6737 1.1528
Sn 3.6171 6.3612 6.8177
Sn 5.4438 3.0989 1.3299
Sb 2.0889 4.5825 4.9784
Sb 3.7307 1.3838 3.1088
```

Principal peaks in the range 5° ≤ 2θ ≤ 70°, most intense first:
| 2θ/deg | I_rel |
| --- | --- |
| 31.69 | 100 |
| 27.47 | 74 |
| 11.74 | 48 |
| 26.07 | 41 |
| 54.41 | 27 |
| 21.98 | 25 |
| 33.29 | 22 |
| 30.04 | 22 |
| 27.89 | 21 |
| 28.36 | 19 |



Structure and computed X-ray diffraction stick pattern of Cs5Sn4Sb4 (a crystal structure in Alexandria, relaxed with GGA-PBE; Cu Kα).

Structure:
```
13
Lattice="-7.2532 7.2532 2.6785 7.2532 -7.2532 2.6785 7.2532 7.2532 -2.6785" Properties=species:S:1:pos:R:3 pbc="T T T"
Cs 0.0000 0.0000 0.0000
Cs 9.3533 4.2191 0.0000
Cs 4.2191 5.1530 0.0000
Cs 3.0340 2.1002 2.6785
Cs -2.1002 3.0340 2.6785
Sn 6.4390 1.3774 0.0000
Sn 5.8757 -0.8142 2.6785
Sn 1.3774 8.0673 0.0000
Sn 0.8142 5.8757 2.6785
Sb 10.4658 0.5462 0.0000
Sb 0.5462 4.0405 0.0000
Sb 6.7070 3.2127 2.6785
Sb -3.2127 6.7070 2.6785
```

Principal peaks in the range 5° ≤ 2θ ≤ 70°, most intense first:
| 2θ/deg | I_rel |
| --- | --- |
| 27.73 | 100 |
| 24.80 | 69 |
| 35.18 | 52 |
| 8.62 | 46 |
| 33.45 | 44 |
| 31.45 | 38 |
| 30.40 | 36 |
| 26.06 | 32 |
| 46.57 | 26 |
| 27.50 | 24 |